Computed powder X-ray diffraction pattern
Compound: CsVPO2
Radiation: Cu Kα, 1.54184 Å
Structure: a cell relaxed with PBE+U

Atomic structure:
Lattice parameters (Å, degrees): 4.013 4.013 5.024 90.00 90.00 90.00
Space group P4/mmm (No. 123)
One atom of each set of equivalent atoms:
1 Cs 0.000 0.000 0.000 (multiplicity 1)
2 V 0.500 0.500 0.500 (multiplicity 1)
3 P 0.500 0.500 0.000 (multiplicity 1)
4 O 0.000 0.500 0.500 (multiplicity 2)

Peak list (6 most intense, 2θ = 15–90°, by angle)
d [Å], I/Imax, h k l
3.135, 100.0, 1 0 1
2.838, 53.9, 1 1 0
2.512, 36.2, 0 0 2
2.471, 47.5, 1 1 1
2.007, 35.6, 2 0 0
1.881, 32.2, 1 1 2